This entry pairs a crystal structure of CaMn2Sb with its theoretical X-ray powder pattern. Radiation: λ = 1.5418 Å (Cu Kα). Structure: a cell relaxed with GGA-PBE.

The 10 most intense peaks (15 to 90 degrees two-theta), low angle first:
two_theta, d [Å], I/Imax
15.62, 5.675, 95
24.97, 3.566, 41
32.33, 2.769, 80
36.09, 2.489, 100
42.95, 2.106, 92
45.97, 1.974, 35
49.60, 1.838, 20
57.31, 1.608, 24
66.44, 1.407, 17
74.22, 1.278, 22

Crystal structure
Cell lengths 6.174, 6.174, 6.174 Å; angles 39.89, 39.89, 39.89 degrees
Positions (direct):
1 Ca 0.000 0.000 0.000
2 Mn 0.200 0.200 0.200
3 Mn 0.545 0.545 0.545
4 Sb 0.796 0.796 0.796